Entry 1:
The following is a calculated X-ray powder pattern of RbCuPbCl6. It was derived from a PBE-relaxed structure, using Cu Kα, 1.54184 Å.

Most intense lines, 2θ = 5–70°, low angle first:
2theta  intensity
13.18  58
14.05  26
16.58  27
17.17  72
21.24  100
22.79  27
23.23  33
31.91  43
34.68  47
40.70  26

Crystal structure
Cell lengths 6.6996, 6.7011, 6.9506 Å; angles 98.92, 98.95, 105.88 degrees
Element x y z (fractional)
Rb1 0.0000 0.0000 0.0000
Cu1 0.2549 0.7435 0.5006
Pb1 0.6103 0.3893 0.5004
Cl1 0.2986 0.5018 0.2570
Cl2 0.3094 0.0934 0.6209
Cl3 0.4976 0.7006 0.7439
Cl4 0.5834 0.0863 0.2061
Cl5 0.9056 0.6910 0.3797
Cl6 0.9143 0.4171 0.7944



Entry 2:
The following is a calculated X-ray powder pattern of RbCuPbCl5. It was derived from a PBE-relaxed structure, using Cu Kα, 1.54184 Å.

Most intense lines, 2θ = 5–70°, low angle first:
2theta  intensity
13.20  47
19.10  100
22.59  76
23.15  64
23.71  65
33.15  34
33.64  29
37.15  29
40.95  31
48.43  33

Crystal structure
Cell lengths 7.6728, 7.6728, 10.3135 Å; angles 101.56, 101.56, 113.17 degrees
Element x y z (fractional)
Rb1 0.1626 0.8374 0.7500
Rb2 0.8374 0.1626 0.2500
Cu1 0.1763 0.8237 0.2500
Cu2 0.8237 0.1763 0.7500
Pb1 0.5000 0.5000 0.0000
Pb2 0.5000 0.5000 0.5000
Cl1 0.0838 0.2049 0.9197
Cl2 0.2049 0.0838 0.4197
Cl3 0.2101 0.6346 0.3899
Cl4 0.3654 0.7899 0.1101
Cl5 0.4139 0.5861 0.7500
Cl6 0.5861 0.4139 0.2500
Cl7 0.6346 0.2101 0.8899
Cl8 0.7899 0.3654 0.6101
Cl9 0.7951 0.9162 0.5803
Cl10 0.9162 0.7951 0.0803



Entry 3:
The following is a calculated X-ray powder pattern of TlCu4Pb3Cl12. It was derived from a PBE-relaxed structure, using Cu Kα, 1.54184 Å.

Most intense lines, 2θ = 5–70°, low angle first:
2theta  intensity
16.39  34
20.53  29
21.74  100
24.69  26
27.03  16
30.65  23
35.21  17
36.22  26
41.09  17
45.34  26

Crystal structure
Cell lengths 9.0735, 9.0735, 9.0735 Å; angles 105.27, 105.27, 105.27 degrees
Element x y z (fractional)
Tl1 0.0000 0.0000 0.0000
Cu1 0.0628 0.5000 0.9372
Cu2 0.5000 0.5000 0.5000
Cu3 0.5000 0.9372 0.0628
Cu4 0.9372 0.0628 0.5000
Pb1 0.0000 0.5512 0.4488
Pb2 0.4488 0.0000 0.5512
Pb3 0.5512 0.4488 0.0000
Cl1 0.0120 0.6451 0.7842
Cl2 0.0963 0.9037 0.5000
Cl3 0.2158 0.3549 0.9880
Cl4 0.3467 0.6533 0.5000
Cl5 0.3549 0.9880 0.2158
Cl6 0.5000 0.0963 0.9037
Cl7 0.5000 0.3467 0.6533
Cl8 0.6451 0.7842 0.0120
Cl9 0.6533 0.5000 0.3467
Cl10 0.7842 0.0120 0.6451
Cl11 0.9037 0.5000 0.0963
Cl12 0.9880 0.2158 0.3549